Starting from a PBE+U-relaxed structure, the X-ray powder pattern of Cd2GaFeO4 was simulated for a wavelength of 1.5418 Å.
Intensities are scaled so that the largest is 100.

Atomic structure:
```
data_Cd2GaFeO4
_cell_length_a 10.740
_cell_length_b 4.154
_cell_length_c 5.491
_cell_angle_alpha 90.00
_cell_angle_beta 119.98
_cell_angle_gamma 90.00
_symmetry_space_group_name_H-M 'C 1 m 1'
_symmetry_Int_Tables_number 8
_symmetry_space_group_name_Hall 'C -2y'
loop_
_atom_site_label
_atom_site_type_symbol
_atom_site_fract_x
_atom_site_fract_y
_atom_site_fract_z
Cd1 Cd 0.000 0.000 0.000
Cd2 Cd 0.247 0.500 0.233
Ga1 Ga 0.240 0.000 0.739
Fe1 Fe 0.001 0.500 0.501
O1 O 0.037 0.000 0.615
O2 O 0.229 0.500 0.783
O3 O 0.281 0.000 0.437
O4 O 0.428 0.000 0.077
```

Principal peaks in the range 2θ from 10° to 90°, in order of falling intensity:
- 33.07°, intensity 100, hkl 1 1 1
- 33.33°, intensity 100, hkl 3 1 -1
- 32.62°, intensity 68, hkl 2 0 -2
- 38.72°, intensity 47, hkl 4 0 0
- 43.57°, intensity 39, hkl 0 2 0
- 55.47°, intensity 28, hkl 2 2 -2
- 58.33°, intensity 25, hkl 1 1 -3
- 59.68°, intensity 24, hkl 4 2 0
- 58.83°, intensity 24, hkl 5 1 -3
- 51.13°, intensity 18, hkl 2 0 2
- 51.86°, intensity 18, hkl 6 0 -2
- 66.36°, intensity 15, hkl 5 1 1